[1]
Diffraction record for Li5MnCr3O8. The powder X-ray diffraction pattern is computed, not measured: it uses a crystal structure in the Materials Project, relaxed with PBE+U and a wavelength of 1.5418 Å.
No peak broadening, texture or thermal motion is included.

abc: 10.387 6.028 10.736
angles: 90.00 108.85 90.00
Space group C2/m (No. 12)
Unique sites:
1 Li 0.000 0.250 0.250 [8 per cell]
2 Li 0.032 0.000 0.097 [4 per cell]
3 Li 0.033 0.500 0.597 [4 per cell]
4 Li 0.250 0.000 0.250 [4 per cell]
5 Mn 0.249 0.500 0.251 [4 per cell]
6 Cr 0.000 0.000 0.500 [2 per cell]
7 Cr 0.000 0.500 0.000 [2 per cell]
8 Cr 0.250 0.250 0.000 [4 per cell]
9 Cr 0.250 0.250 0.500 [4 per cell]
10 O 0.124 0.239 0.614 [8 per cell]
11 O 0.125 0.260 0.114 [8 per cell]
12 O 0.129 0.500 0.888 [4 per cell]
13 O 0.130 0.000 0.388 [4 per cell]
14 O 0.136 0.000 0.887 [4 per cell]
15 O 0.136 0.500 0.387 [4 per cell]

The 6 most intense peaks (2θ from 10° to 90°), sorted by position:
- hkl 0 0 2, 2θ = 17.5°, rel. 36
- hkl 2 0 0, 2θ = 18.0°, rel. 78
- hkl 3 1 1, 2θ = 34.7°, rel. 19
- hkl 4 0 -4, 2θ = 42.0°, rel. 100
- hkl 2 2 -6, 2θ = 60.2°, rel. 17
- hkl 6 2 -2, 2θ = 61.8°, rel. 19

=====

[2]
Diffraction record for Li3Mn2CrO6. The powder X-ray diffraction pattern is computed, not measured: it uses a crystal structure in the Materials Project, relaxed with PBE+U and a wavelength of 1.5418 Å.
No peak broadening, texture or thermal motion is included.

abc: 12.684 3.043 6.045
angles: 90.00 104.57 90.00
Space group C2/m (No. 12)
Unique sites:
1 Li 0.000 0.000 0.000 [2 per cell]
2 Li 0.170 0.500 0.339 [4 per cell]
3 Mn 0.169 0.500 0.828 [4 per cell]
4 Cr 0.000 0.000 0.500 [2 per cell]
5 O 0.010 0.500 0.735 [4 per cell]
6 O 0.162 0.000 0.586 [4 per cell]
7 O 0.174 0.000 0.078 [4 per cell]

The 6 most intense peaks (2θ from 10° to 90°), sorted by position:
- hkl 2 0 -1, 2θ = 18.1°, rel. 100
- hkl 1 1 1, 2θ = 34.8°, rel. 31
- hkl 1 1 -2, 2θ = 42.1°, rel. 58
- hkl 6 0 0, 2θ = 44.3°, rel. 24
- hkl 7 1 -2, 2θ = 62.4°, rel. 14
- hkl 5 1 2, 2θ = 63.1°, rel. 14

=====

[3]
Diffraction record for Li4MnCrO6. The powder X-ray diffraction pattern is computed, not measured: it uses a crystal structure in the Materials Project, relaxed with PBE+U and a wavelength of 1.5418 Å.
No peak broadening, texture or thermal motion is included.

abc: 5.048 8.638 9.743
angles: 90.00 99.13 90.00
Space group C2/c (No. 15)
Unique sites:
1 Li 0.000 0.247 0.250 [4 per cell]
2 Li 0.240 0.089 0.499 [8 per cell]
3 Li 0.250 0.250 0.000 [4 per cell]
4 Mn 0.000 0.082 0.750 [4 per cell]
5 Cr 0.000 0.421 0.750 [4 per cell]
6 O 0.104 0.250 0.636 [8 per cell]
7 O 0.136 0.071 0.137 [8 per cell]
8 O 0.144 0.431 0.139 [8 per cell]

The 6 most intense peaks (2θ from 10° to 90°), sorted by position:
- hkl 0 0 2, 2θ = 18.4°, rel. 100
- hkl 0 2 0, 2θ = 20.6°, rel. 22
- hkl 1 1 -1, 2θ = 21.4°, rel. 32
- hkl 1 1 1, 2θ = 23.7°, rel. 24
- hkl 2 0 2, 2θ = 43.5°, rel. 39
- hkl 1 3 -3, 2θ = 44.2°, rel. 68

=====

[4]
Diffraction record for Li10Mn3Cr5O16. The powder X-ray diffraction pattern is computed, not measured: it uses a crystal structure in the Materials Project, relaxed with PBE+U and a wavelength of 1.5418 Å.
No peak broadening, texture or thermal motion is included.

abc: 5.997 6.037 9.870
angles: 88.86 89.70 60.43
Space group P1 (No. 1)
Unique sites:
1 Li 0.000 0.000 0.000 [1 per cell]
2 Li 0.002 0.418 0.006 [1 per cell]
3 Li 0.137 0.155 0.786 [1 per cell]
4 Li 0.211 0.626 0.510 [1 per cell]
5 Li 0.412 0.016 0.002 [1 per cell]
6 Li 0.462 0.492 0.285 [1 per cell]
7 Li 0.603 0.215 0.505 [1 per cell]
8 Li 0.615 0.622 0.503 [1 per cell]
9 Li 0.808 0.795 0.073 [1 per cell]
10 Li 0.811 0.809 0.570 [1 per cell]
11 Mn 0.466 0.981 0.271 [1 per cell]
12 Mn 0.643 0.143 0.772 [1 per cell]
13 Mn 0.970 0.979 0.273 [1 per cell]
14 Cr 0.146 0.142 0.531 [1 per cell]
15 Cr 0.149 0.639 0.773 [1 per cell]
16 Cr 0.473 0.467 0.030 [1 per cell]
17 Cr 0.641 0.640 0.774 [1 per cell]
18 Cr 0.975 0.469 0.274 [1 per cell]
19 O 0.143 0.628 0.149 [1 per cell]
20 O 0.152 0.148 0.158 [1 per cell]
21 O 0.283 0.323 0.404 [1 per cell]
22 O 0.305 0.332 0.900 [1 per cell]
23 O 0.305 0.842 0.401 [1 per cell]
24 O 0.322 0.785 0.896 [1 per cell]
25 O 0.470 0.494 0.657 [1 per cell]
26 O 0.479 0.966 0.647 [1 per cell]
27 O 0.629 0.130 0.142 [1 per cell]
28 O 0.650 0.618 0.151 [1 per cell]
29 O 0.787 0.329 0.902 [1 per cell]
30 O 0.788 0.802 0.379 [1 per cell]
31 O 0.820 0.790 0.884 [1 per cell]
32 O 0.828 0.310 0.405 [1 per cell]
33 O 0.975 0.480 0.658 [1 per cell]
34 O 0.992 0.960 0.644 [1 per cell]

The 6 most intense peaks (2θ from 10° to 90°), sorted by position:
- hkl 0 0 2, 2θ = 18.0°, rel. 100
- hkl 1 1 1, 2θ = 19.2°, rel. 72
- hkl 0 1 -1, 2θ = 19.3°, rel. 59
- hkl -1 1 2, 2θ = 34.5°, rel. 48
- hkl 0 2 1, 2θ = 35.2°, rel. 60
- hkl 2 0 -1, 2θ = 35.6°, rel. 80